No. 1
# SrSn8Os2
Theoretical powder X-ray diffraction pattern, Cu Kα, 1.54184 Å. Input: a cell relaxed with PBE.

Crystal structure
```
SrSn8Os2
1.0
6.4436 0.0000 0.0000
0.0000 6.4436 0.0000
0.0000 0.0000 8.4124
Sr Sn Os
1 8 2
Cartesian
0.0000 0.0000 0.0000
1.6318 1.6318 2.6181
1.6318 1.6318 5.7943
1.6318 4.8117 2.6181
1.6318 4.8117 5.7943
4.8117 1.6318 2.6181
4.8117 1.6318 5.7943
4.8117 4.8117 2.6181
4.8117 4.8117 5.7943
0.0000 3.2218 4.2062
3.2218 0.0000 4.2062
```

Peak list (8 most intense, 15 to 90 degrees two-theta, in order of falling intensity)
| two_theta | d (Å) | intensity |
| --- | --- | --- |
| 35.08 | 2.558 | 100 |
| 42.75 | 2.115 | 60 |
| 39.56 | 2.278 | 55 |
| 22.19 | 4.006 | 50 |
| 68.88 | 1.363 | 29 |
| 73.96 | 1.282 | 25 |
| 41.05 | 2.199 | 20 |
| 57.18 | 1.611 | 19 |


No. 2
# CsBa2RuO4
Theoretical powder X-ray diffraction pattern, Cu Kα, 1.54184 Å. Input: a cell relaxed with PBE.

Crystal structure
```
CsBa2RuO4
1.0
1.9090 -6.9597 0.0000
1.9090 6.9597 0.0000
0.0000 0.0000 13.3705
Cs Ba Ru O
2 4 2 8
Cartesian
1.9090 5.9756 10.0279
1.9090 -5.9756 3.3426
1.9090 1.7991 7.2612
1.9090 1.7991 12.7945
1.9090 -1.7991 0.5760
1.9090 -1.7991 6.1093
1.9090 4.0106 3.3426
1.9090 -4.0106 10.0279
0.0000 0.0000 0.0000
0.0000 0.0000 6.6853
1.9090 3.4436 1.5068
1.9090 3.4436 5.1784
1.9090 2.2378 10.0279
1.9090 -2.2378 3.3426
1.9090 -3.4436 8.1921
1.9090 -3.4436 11.8637
```

Peak list (8 most intense, 15 to 90 degrees two-theta, in order of falling intensity)
| two_theta | d (Å) | intensity |
| --- | --- | --- |
| 27.66 | 3.225 | 100 |
| 31.06 | 2.879 | 76 |
| 23.71 | 3.753 | 52 |
| 26.67 | 3.343 | 48 |
| 45.81 | 1.981 | 44 |
| 26.47 | 3.368 | 41 |
| 33.21 | 2.698 | 37 |
| 28.93 | 3.087 | 31 |


No. 3
# BC3
Theoretical powder X-ray diffraction pattern, Cu Kα, 1.54184 Å. Input: a cell relaxed with PBE.

Crystal structure
```
BC3
1.0
6.8276 -1.2786 0.0000
6.8276 1.2786 0.0000
-1.4779 0.0000 4.2623
B C
3 9
Cartesian
0.0000 0.0000 0.0000
3.5553 0.0000 2.8819
6.1134 0.0000 2.1589
1.5602 0.0000 0.5298
1.0517 0.0000 3.5516
2.5103 0.0000 4.0915
5.0477 0.0000 3.3554
7.6574 0.0000 2.6697
8.6181 0.0000 1.4041
10.0854 0.0000 1.8509
11.0797 0.0000 0.6941
12.5244 0.0000 1.1813
```

Peak list (8 most intense, 15 to 90 degrees two-theta, in order of falling intensity)
| two_theta | d (Å) | intensity |
| --- | --- | --- |
| 42.99 | 2.104 | 100 |
| 42.49 | 2.127 | 48 |
| 42.02 | 2.150 | 45 |
| 72.99 | 1.296 | 25 |
| 72.32 | 1.307 | 25 |
| 72.09 | 1.310 | 13 |
| 74.16 | 1.279 | 12 |
| 87.84 | 1.111 | 11 |


No. 4
# BaSc2In2O7
Theoretical powder X-ray diffraction pattern, Cu Kα, 1.54184 Å. Input: a cell relaxed with PBE.

Crystal structure
```
BaSc2In2O7
1.0
-2.1890 8.8989 2.1874
2.1890 -8.8989 2.1874
2.1890 8.8989 -2.1874
Ba Sc In O
1 2 2 7
Cartesian
0.0000 0.0000 0.0000
2.1890 4.4555 -0.1146
0.0000 4.4435 2.0727
2.1890 -2.0456 2.0914
2.1890 2.0456 2.0914
2.1890 2.3742 -0.1162
2.1890 -4.3254 2.0696
2.1890 6.5435 -0.1218
2.1890 0.0000 1.8755
0.0000 2.3554 2.0655
2.1890 4.3254 2.0696
0.0000 6.5247 2.0711
```

Peak list (8 most intense, 15 to 90 degrees two-theta, in order of falling intensity)
| two_theta | d (Å) | intensity |
| --- | --- | --- |
| 25.29 | 3.522 | 100 |
| 32.42 | 2.761 | 84 |
| 41.26 | 2.188 | 68 |
| 30.59 | 2.923 | 56 |
| 53.42 | 1.715 | 41 |
| 28.85 | 3.095 | 37 |
| 59.23 | 1.560 | 37 |
| 49.01 | 1.859 | 33 |


No. 5
# KRuPb2
Theoretical powder X-ray diffraction pattern, Cu Kα, 1.54184 Å. Input: a cell relaxed with PBE.

Crystal structure
```
KRuPb2
1.0
3.3877 0.0000 0.0000
0.0000 3.4130 0.0000
0.0000 0.0000 8.8938
K Ru Pb
1 1 2
Cartesian
0.0000 0.0000 0.0000
0.0000 0.0000 4.4469
1.6938 1.7065 2.7734
1.6938 1.7065 6.1204
```

Peak list (8 most intense, 15 to 90 degrees two-theta, in order of falling intensity)
| two_theta | d (Å) | intensity |
| --- | --- | --- |
| 37.40 | 2.404 | 100 |
| 33.09 | 2.707 | 86 |
| 33.25 | 2.695 | 85 |
| 40.30 | 2.238 | 52 |
| 40.43 | 2.231 | 51 |
| 48.77 | 1.867 | 31 |
| 30.15 | 2.965 | 28 |
| 38.80 | 2.321 | 28 |


No. 6
# PmSm2DyBi4
Theoretical powder X-ray diffraction pattern, Cu Kα, 1.54184 Å. Input: a cell relaxed with PBE.

Crystal structure
```
PmSm2DyBi4
1.0
7.8683 0.0000 0.0000
0.0000 4.5457 0.0000
-2.6233 0.0000 7.4189
Pm Sm Dy Bi
1 2 1 4
Cartesian
0.0000 0.0000 0.0000
-1.3116 2.2729 3.7094
2.6225 0.0000 3.7094
3.9341 2.2729 0.0000
1.3359 2.2729 1.8473
0.0235 0.0000 5.5878
5.2215 0.0000 1.8310
3.9091 2.2729 5.5716
```

Peak list (8 most intense, 15 to 90 degrees two-theta, in order of falling intensity)
| two_theta | d (Å) | intensity |
| --- | --- | --- |
| 27.77 | 3.213 | 100 |
| 39.67 | 2.272 | 78 |
| 64.89 | 1.437 | 38 |
| 49.11 | 1.855 | 29 |
| 71.99 | 1.312 | 28 |
| 57.35 | 1.607 | 14 |
| 85.48 | 1.136 | 9 |
| 23.99 | 3.710 | 4 |


No. 7
# YZn3Au3
Theoretical powder X-ray diffraction pattern, Cu Kα, 1.54184 Å. Input: a cell relaxed with PBE.

Crystal structure
```
YZn3Au3
1.0
3.5214 2.0331 6.2287
-3.5214 2.0331 6.2287
0.0000 -4.0662 6.2287
Y Zn Au
2 6 6
Cartesian
0.0000 0.0000 3.0195
0.0000 0.0000 15.6666
-1.9716 0.3974 5.4599
0.6416 -1.9062 5.4599
-1.3300 -1.5087 13.2262
1.3300 1.5087 5.4599
-0.6416 1.9062 13.2262
1.9716 -0.3975 13.2262
-1.7018 0.0231 8.0752
-0.8709 -1.4623 10.6109
0.8309 -1.4853 8.0752
-0.8309 1.4853 10.6109
0.8709 1.4623 8.0752
1.7018 -0.0230 10.6109
```

Peak list (8 most intense, 15 to 90 degrees two-theta, in order of falling intensity)
| two_theta | d (Å) | intensity |
| --- | --- | --- |
| 38.59 | 2.333 | 100 |
| 40.29 | 2.238 | 93 |
| 29.13 | 3.065 | 93 |
| 39.38 | 2.288 | 83 |
| 43.79 | 2.067 | 57 |
| 15.28 | 5.798 | 41 |
| 51.07 | 1.788 | 39 |
| 46.27 | 1.962 | 36 |


No. 8
# La5Y7
Theoretical powder X-ray diffraction pattern, Cu Kα, 1.54184 Å. Input: a cell relaxed with PBE.

Crystal structure
```
La5Y7
1.0
9.4992 -1.8326 0.0000
9.4992 1.8326 0.0000
-6.3823 0.0000 11.7892
La Y
5 7
Cartesian
0.0000 0.0000 0.0000
-0.0330 0.0000 5.8758
4.2287 0.0000 2.9612
8.3874 0.0000 8.8279
12.6492 0.0000 5.9134
-4.2899 0.0000 8.8536
6.3209 0.0000 0.0387
2.0848 0.0000 8.8610
6.3081 0.0000 5.8946
10.5313 0.0000 2.9282
6.2952 0.0000 11.7505
16.9060 0.0000 2.9356
```

Peak list (8 most intense, 15 to 90 degrees two-theta, in order of falling intensity)
| two_theta | d (Å) | intensity |
| --- | --- | --- |
| 32.04 | 2.794 | 100 |
| 29.17 | 3.062 | 47 |
| 30.33 | 2.947 | 40 |
| 49.82 | 1.830 | 30 |
| 59.38 | 1.557 | 23 |
| 36.40 | 2.469 | 22 |
| 32.15 | 2.785 | 20 |
| 60.45 | 1.531 | 16 |


No. 9
# Tb3P4Pt4
Theoretical powder X-ray diffraction pattern, Cu Kα, 1.54184 Å. Input: a cell relaxed with PBE.

Crystal structure
```
Tb3P4Pt4
1.0
4.0391 0.0000 0.0000
0.0004 4.0780 0.0000
2.0171 2.0357 12.2263
Tb P Pt
3 4 4
Cartesian
0.0000 0.0000 0.0000
2.0184 4.0768 8.6241
4.0382 2.0369 3.6022
2.0149 4.0758 4.5927
2.0079 2.0389 1.1456
4.0487 4.0747 11.0807
4.0417 2.0378 7.6336
2.0226 2.0362 5.8626
2.0238 4.0778 2.2607
4.0328 2.0358 9.9656
4.0340 4.0774 6.3637
```

Peak list (8 most intense, 15 to 90 degrees two-theta, in order of falling intensity)
| two_theta | d (Å) | intensity |
| --- | --- | --- |
| 34.53 | 2.598 | 100 |
| 33.93 | 2.642 | 38 |
| 44.44 | 2.039 | 25 |
| 46.53 | 1.952 | 24 |
| 44.88 | 2.020 | 19 |
| 57.06 | 1.614 | 17 |
| 66.64 | 1.403 | 16 |
| 65.00 | 1.435 | 16 |


No. 10
# Ca4Rh
Theoretical powder X-ray diffraction pattern, Cu Kα, 1.54184 Å. Input: a cell relaxed with PBE.

Crystal structure
```
Ca4Rh
1.0
3.9797 -6.8047 0.0000
3.9797 6.8047 0.0000
0.0000 0.0000 6.5195
Ca Rh
8 2
Cartesian
3.9797 4.5710 4.9398
1.9899 1.1195 4.8896
1.9899 -1.1195 1.6299
3.9797 2.2337 1.6801
3.9797 -2.2337 4.8394
5.9696 1.1195 4.8896
5.9696 -1.1195 1.6299
3.9797 -4.5710 1.5797
0.0000 0.0000 0.0000
3.9797 0.0000 3.2598
```

Peak list (8 most intense, 15 to 90 degrees two-theta, in order of falling intensity)
| two_theta | d (Å) | intensity |
| --- | --- | --- |
| 18.76 | 4.729 | 100 |
| 29.39 | 3.039 | 62 |
| 38.05 | 2.365 | 49 |
| 26.43 | 3.373 | 38 |
| 29.62 | 3.016 | 29 |
| 46.06 | 1.971 | 29 |
| 38.24 | 2.354 | 25 |
| 37.18 | 2.418 | 17 |


No. 11
# AcCd4Cu4
Theoretical powder X-ray diffraction pattern, Cu Kα, 1.54184 Å. Input: a cell relaxed with PBE.

Crystal structure
```
AcCd4Cu4
1.0
9.0010 0.0000 0.0000
0.0000 9.0010 0.0000
0.0000 0.0000 4.7326
Ac Cd Cu
2 8 8
Cartesian
2.2503 2.2503 1.1831
6.7508 6.7508 3.5494
1.1832 7.7834 3.1528
1.2177 5.6838 0.7865
3.2829 7.8178 0.7865
3.3173 5.7182 3.1528
5.6838 3.2829 1.5798
5.7182 1.1832 3.9461
7.7834 3.3173 3.9461
7.8178 1.2177 1.5798
0.0548 0.9830 3.9346
0.9830 4.4457 3.1643
3.5176 0.0548 3.1643
4.4457 3.5176 3.9346
4.5553 5.4835 0.7980
5.4835 8.9463 1.5683
8.0181 4.5553 1.5683
8.9463 8.0181 0.7980
```

Peak list (8 most intense, 15 to 90 degrees two-theta, in order of falling intensity)
| two_theta | d (Å) | intensity |
| --- | --- | --- |
| 29.12 | 3.066 | 100 |
| 40.87 | 2.208 | 77 |
| 31.43 | 2.846 | 75 |
| 35.42 | 2.534 | 34 |
| 51.79 | 1.765 | 31 |
| 39.37 | 2.289 | 28 |
| 66.06 | 1.414 | 23 |
| 50.13 | 1.820 | 22 |


No. 12
# NdTm2Th
Theoretical powder X-ray diffraction pattern, Cu Kα, 1.54184 Å. Input: a cell relaxed with PBE.

Crystal structure
```
NdTm2Th
1.0
5.0750 0.0000 0.0000
0.0000 5.0750 0.0000
0.0000 0.0000 4.9260
Nd Tm Th
1 2 1
Cartesian
0.0000 0.0000 0.0000
0.0000 2.5375 2.4630
2.5375 0.0000 2.4630
2.5375 2.5375 0.0000
```

Peak list (8 most intense, 15 to 90 degrees two-theta, in order of falling intensity)
| two_theta | d (Å) | intensity |
| --- | --- | --- |
| 30.83 | 2.900 | 100 |
| 35.37 | 2.537 | 35 |
| 60.69 | 1.526 | 30 |
| 51.72 | 1.767 | 24 |
| 36.48 | 2.463 | 16 |
| 62.17 | 1.493 | 14 |
| 50.89 | 1.794 | 13 |
| 64.22 | 1.450 | 13 |


No. 13
# Y2GePd8
Theoretical powder X-ray diffraction pattern, Cu Kα, 1.54184 Å. Input: a cell relaxed with PBE.

Crystal structure
```
Y2GePd8
1.0
-2.3367 2.9603 7.0359
2.3367 -2.9603 7.0359
2.3367 2.9603 -7.0359
Y Ge Pd
2 1 8
Cartesian
0.0000 0.0000 2.6471
0.0000 0.0000 11.4248
0.0000 0.0000 7.0359
2.3367 1.4347 -1.8636
0.0000 1.5223 0.0000
2.3367 0.0000 4.4648
2.3367 1.4347 1.8636
0.0000 1.5256 5.1723
0.0000 2.9603 2.5711
0.0000 4.3983 0.0000
0.0000 1.5256 8.8995
```

Peak list (8 most intense, 15 to 90 degrees two-theta, in order of falling intensity)
| two_theta | d (Å) | intensity |
| --- | --- | --- |
| 40.89 | 2.207 | 100 |
| 38.53 | 2.337 | 37 |
| 37.30 | 2.411 | 33 |
| 71.30 | 1.323 | 19 |
| 38.38 | 2.345 | 15 |
| 74.78 | 1.270 | 14 |
| 76.10 | 1.251 | 13 |
| 32.82 | 2.729 | 13 |